No. 1
Simulated powder diffraction line list
Compound: Pm5Nd2Ho6
Radiation: Cu Kα, 1.54184 Å
Structure: the GGA-PBE geometry in Alexandria
Neutral-atom scattering factors, no anomalous dispersion.

Structure:
Cell: 11.7477 20.5321 3.6016 Å, 90.00 90.00 90.00°
Space group Pbam (No. 55)
Unique sites:
1 Pm 0.0000 0.0000 0.0000 (multiplicity 2)
2 Pm 0.0868 0.2784 0.0000 (multiplicity 4)
3 Pm 0.2005 0.5520 0.0000 (multiplicity 4)
4 Nd 0.1720 0.7169 0.5000 (multiplicity 4)
5 Ho 0.0608 0.4226 0.5000 (multiplicity 4)
6 Ho 0.0764 0.1346 0.5000 (multiplicity 4)
7 Ho 0.1802 0.8706 0.0000 (multiplicity 4)

Peak list (6 most intense, 2θ from 10° to 90°, sorted by position)
| 2theta | intensity | (hkl) |
| --- | --- | --- |
| 30.75 | 66 | 4 1 0 |
| 31.28 | 48 | 1 4 1 |
| 31.44 | 68 | 1 7 0 |
| 31.95 | 100 | 2 3 1 |
| 34.02 | 42 | 2 4 1 |
| 36.34 | 31 | 3 3 1 |

***

No. 2
Simulated powder diffraction line list
Compound: Pm2Nd3Ho7
Radiation: Cu Kα, 1.54184 Å
Structure: the GGA-PBE geometry in Alexandria
Neutral-atom scattering factors, no anomalous dispersion.

Structure:
Cell: 5.8466 3.5866 18.8814 Å, 90.00 93.17 90.00°
Space group P2/m (No. 10)
Unique sites:
1 Pm 0.2097 0.0000 0.2921 (multiplicity 2)
2 Nd 0.0000 0.0000 0.0000 (multiplicity 1)
3 Nd 0.2778 0.5000 0.6318 (multiplicity 2)
4 Ho 0.1897 0.5000 0.1425 (multiplicity 2)
5 Ho 0.2424 0.0000 0.4618 (multiplicity 2)
6 Ho 0.3083 0.0000 0.8276 (multiplicity 2)
7 Ho 0.5000 0.5000 0.0000 (multiplicity 1)

Peak list (6 most intense, 2θ from 10° to 90°, sorted by position)
| 2theta | intensity | (hkl) |
| --- | --- | --- |
| 30.74 | 34 | 2 0 -1 |
| 31.02 | 100 | 1 1 2 |
| 31.58 | 45 | 1 0 -6 |
| 33.12 | 33 | 1 0 6 |
| 34.53 | 36 | 1 1 -4 |
| 54.04 | 30 | 3 1 1 |

***

No. 3
Simulated powder diffraction line list
Compound: Pm5Nd3Ho3
Radiation: Cu Kα, 1.54184 Å
Structure: the GGA-PBE geometry in Alexandria
Neutral-atom scattering factors, no anomalous dispersion.

Structure:
Cell: 11.3646 11.3646 3.4638 Å, 90.00 90.00 120.00°
Space group P-62m (No. 189)
Unique sites:
1 Pm 0.0000 0.6627 0.0000 (multiplicity 3)
2 Pm 0.3333 0.6667 0.0000 (multiplicity 2)
3 Nd 0.0000 0.4030 0.5000 (multiplicity 3)
4 Ho 0.0000 0.1588 0.0000 (multiplicity 3)

Peak list (6 most intense, 2θ from 10° to 90°, sorted by position)
| 2theta | intensity | (hkl) |
| --- | --- | --- |
| 27.18 | 82 | 3 0 0 |
| 30.22 | 89 | 1 1 1 |
| 31.52 | 59 | 2 2 0 |
| 32.81 | 100 | 3 1 0 |
| 35.41 | 74 | 2 1 1 |
| 41.09 | 85 | 2 2 1 |

***

No. 4
Simulated powder diffraction line list
Compound: Pm3Nd3Ho5
Radiation: Cu Kα, 1.54184 Å
Structure: the GGA-PBE geometry in Alexandria
Neutral-atom scattering factors, no anomalous dispersion.

Structure:
Cell: 9.6502 9.6502 5.5809 Å, 90.00 90.00 120.00°
Space group P-62m (No. 189)
Unique sites:
1 Pm 0.0000 0.3694 0.0000 (multiplicity 3)
2 Nd 0.0000 0.5755 0.5000 (multiplicity 3)
3 Ho 0.0000 0.7345 0.0000 (multiplicity 3)
4 Ho 0.3333 0.6667 0.0000 (multiplicity 2)

Peak list (6 most intense, 2θ from 10° to 90°, sorted by position)
| 2theta | intensity | (hkl) |
| --- | --- | --- |
| 15.88 | 59 | 0 0 1 |
| 26.65 | 40 | 2 0 1 |
| 32.11 | 100 | 0 0 2 |
| 32.57 | 79 | 2 1 1 |
| 36.03 | 52 | 3 0 1 |
| 46.04 | 40 | 3 0 2 |